RbLu2Cu3Se4S: calculated powder diffraction line list (a wavelength of 1.5418 Å), based on a cell relaxed with GGA-PBE.

Crystal structure
```
data_RbLu2Cu3Se4S
_symmetry_space_group_name_H-M 'C m c m'
_symmetry_Int_Tables_number 63
_symmetry_space_group_name_Hall '-C 2c 2'
_cell_length_a 4.0401
_cell_length_b 14.5107
_cell_length_c 16.6293
_cell_angle_alpha 90.00
_cell_angle_beta 90.00
_cell_angle_gamma 90.00
loop_
_atom_site_label
_atom_site_fract_x
_atom_site_fract_y
_atom_site_fract_z
Rb1 0.0000 0.0673 0.2500
Lu1 0.0000 0.1922 0.5961
Cu1 0.0000 0.3393 0.2500
Cu2 0.0000 0.4157 0.5304
Se1 0.0000 0.1699 0.0712
Se2 0.0000 0.4397 0.1181
S1 0.0000 0.2381 0.7500
```

Main lines, in order of falling intensity (2θ = 10–80°):
two_theta, I_rel, index
28.79, 100, 1 3 0
36.14, 98, 1 3 4
29.30, 78, 1 3 1
30.78, 77, 1 3 2
10.64, 75, 0 0 2
44.87, 74, 2 0 0